1.
# NaMg16Al12
Computed PXRD pattern, Cu Kα X-rays. Input: the GGA-PBE geometry in Alexandria.

```
data_NaMg16Al12
_cell_length_a 14.9495
_cell_length_b 14.9495
_cell_length_c 9.1249
_cell_angle_alpha 90.00
_cell_angle_beta 90.00
_cell_angle_gamma 120.00
_space_group_name_H-M_alt 'R 3 m'
_space_group_IT_number 160
_space_group_name_Hall 'R 3 -2"'
loop_
_atom_site_label
_atom_site_type_symbol
_atom_site_fract_x
_atom_site_fract_y
_atom_site_fract_z
Na1 Na 0.0000 0.0000 0.0000
Mg1 Mg 0.0000 0.0000 0.3592
Mg2 Mg 0.0095 0.3057 0.6676
Mg3 Mg 0.0670 0.5335 0.5806
Mg4 Mg 0.2138 0.1069 0.8629
Mg5 Mg 0.2189 0.4378 0.1446
Al1 Al 0.0618 0.1235 0.6658
Al2 Al 0.0899 0.5449 0.0927
Al3 Al 0.1501 0.4818 0.8468
```

Top 10 peaks for 2θ from 10° to 90°, sorted by position:
2theta  I_rel  (hkl)
34.0  6  0 4 2
36.1  100  0 3 3
40.0  21  5 1 1
40.1  7  1 0 4
41.9  8  4 2 2
43.7  13  4 3 1
64.9  20  3 6 3
65.0  7  1 5 5
66.2  4  6 2 4
76.5  5  6 6 0

2.
# NaMg16Al12
Computed PXRD pattern, Cu Kα X-rays. Input: the GGA-PBE geometry in Alexandria.

```
data_NaMg16Al12
_cell_length_a 10.5872
_cell_length_b 14.8982
_cell_length_c 9.1507
_cell_angle_alpha 90.00
_cell_angle_beta 125.16
_cell_angle_gamma 90.00
_space_group_name_H-M_alt 'C 1 m 1'
_space_group_IT_number 8
_space_group_name_Hall 'C -2y'
loop_
_atom_site_label
_atom_site_type_symbol
_atom_site_fract_x
_atom_site_fract_y
_atom_site_fract_z
Na1 Na 0.0000 0.0000 0.0000
Mg1 Mg 0.0556 0.1445 0.2823
Mg2 Mg 0.0801 0.2004 0.9629
Mg3 Mg 0.0963 0.5000 0.2793
Mg4 Mg 0.0963 0.5000 0.6234
Mg5 Mg 0.1513 0.1569 0.6787
Mg6 Mg 0.2522 0.3423 0.8814
Mg7 Mg 0.2571 0.0000 0.9395
Mg8 Mg 0.2667 0.3280 0.2791
Mg9 Mg 0.2794 0.0000 0.5648
Mg10 Mg 0.3963 0.1995 0.5955
Al1 Al 0.0000 0.4072 0.9121
Al2 Al 0.0964 0.3165 0.4635
Al3 Al 0.2735 0.5000 0.0985
Al4 Al 0.3238 0.0912 0.2841
Al5 Al 0.3661 0.4062 0.6386
Al6 Al 0.4118 0.1829 0.0940
Al7 Al 0.4612 0.5000 0.4580
```

Top 10 peaks for 2θ from 10° to 90°, sorted by position:
2theta  I_rel  (hkl)
33.9  14  4 0 -2
36.0  99  4 0 -3
36.1  100  1 5 -2
39.9  15  3 1 1
40.1  43  2 0 -4
43.6  13  4 4 -1
43.7  15  3 5 0
64.8  15  2 6 3
64.9  18  1 5 -5
65.0  13  1 9 2

3.
# NaMg16Al12
Computed PXRD pattern, Cu Kα X-rays. Input: the GGA-PBE geometry in Alexandria.

```
data_NaMg16Al12
_cell_length_a 10.5614
_cell_length_b 10.5614
_cell_length_c 10.5614
_cell_angle_alpha 90.00
_cell_angle_beta 90.00
_cell_angle_gamma 90.00
_space_group_name_H-M_alt 'I -4 3 m'
_space_group_IT_number 217
_space_group_name_Hall 'I -4 2 3'
loop_
_atom_site_label
_atom_site_type_symbol
_atom_site_fract_x
_atom_site_fract_y
_atom_site_fract_z
Na1 Na 0.0000 0.0000 0.0000
Mg1 Mg 0.0412 0.3579 0.6421
Mg2 Mg 0.1738 0.1738 0.1738
Al1 Al 0.0915 0.0915 0.7218
```

Top 10 peaks for 2θ from 10° to 90°, sorted by position:
2theta  I_rel  (hkl)
34.0  7  4 0 0
36.1  100  4 1 1
40.0  29  3 3 2
41.9  10  4 2 2
43.7  17  4 3 1
60.8  5  4 4 4
62.1  8  5 5 0
64.9  27  7 2 1
66.2  6  6 4 2
76.5  8  6 6 0

4.
# Nd12MgAl6
Computed PXRD pattern, Cu Kα X-rays. Input: the GGA-PBE geometry in Alexandria.

```
data_Nd12MgAl6
_cell_length_a 14.3779
_cell_length_b 14.3779
_cell_length_c 9.6518
_cell_angle_alpha 90.00
_cell_angle_beta 90.00
_cell_angle_gamma 120.00
_space_group_name_H-M_alt 'R -3'
_space_group_IT_number 148
_space_group_name_Hall '-R 3'
loop_
_atom_site_label
_atom_site_type_symbol
_atom_site_fract_x
_atom_site_fract_y
_atom_site_fract_z
Nd1 Nd 0.0517 0.2624 0.4128
Nd2 Nd 0.0595 0.1950 0.7702
Mg1 Mg 0.0000 0.0000 0.5000
Al1 Al 0.0707 0.2396 0.0804
```

Top 10 peaks for 2θ from 10° to 90°, sorted by position:
2theta  I_rel  (hkl)
19.7  29  0 1 2
26.5  48  3 -2 2
27.4  72  1 3 1
30.4  57  1 1 3
32.7  55  3 2 1
33.0  100  1 4 0
35.3  76  0 3 3
37.5  31  4 -2 3
42.8  27  6 -2 2
54.1  25  5 2 3